1.
This entry pairs a crystal structure of Cd5Ge2N6 with its computed powder diffraction line list. Radiation: Cu Kα (weighted mean of Kα1 and Kα2). Structure: a cell relaxed with PBE.

Principal peaks in the range 2θ from 10° to 90°, in order of rising 2θ:
- 2θ = 24.98°, I 24.1, hkl 0 0 4
- 2θ = 29.60°, I 51.8, hkl 0 2 1
- 2θ = 31.63°, I 91.2, hkl 2 0 4
- 2θ = 32.20°, I 100.0, hkl 3 1 -1
- 2θ = 35.78°, I 55.7, hkl 1 1 -5
- 2θ = 54.26°, I 27.0, hkl 5 1 3

Cell and atoms:
```
data_Cd5Ge2N6
_space_group_name_H-M_alt 'C 1 2/c 1'
_space_group_IT_number 15
_cell_length_a 9.532
_cell_length_b 6.175
_cell_length_c 14.261
_cell_angle_alpha 90.00
_cell_angle_beta 91.08
_cell_angle_gamma 90.00
loop_
_space_group_symop_operation_xyz
'x,y,z'
'-x,-y,-z'
'-x,y,-z+1/2'
'x,-y,z+1/2'
'x+1/2,y+1/2,z'
'-x+1/2,-y+1/2,-z'
'-x+1/2,y+1/2,-z+1/2'
'x+1/2,-y+1/2,z+1/2'
loop_
_atom_site_label
_atom_site_fract_x
_atom_site_fract_y
_atom_site_fract_z
Cd1 0.000 0.176 0.250
Cd2 0.059 0.245 0.480
Cd3 0.143 0.390 0.697
Ge1 0.211 0.313 0.911
N1 0.040 0.454 0.891
N2 0.174 0.067 0.991
N3 0.206 0.244 0.204
```

***

2.
This entry pairs a crystal structure of CdGeN2O with its computed powder diffraction line list. Radiation: Cu Kα (weighted mean of Kα1 and Kα2). Structure: a cell relaxed with PBE.

Principal peaks in the range 2θ from 10° to 90°, in order of rising 2θ:
- 2θ = 32.64°, I 54.3, hkl 1 1 0
- 2θ = 32.78°, I 100.0, hkl 1 0 1
- 2θ = 46.83°, I 31.6, hkl 2 0 0
- 2θ = 58.34°, I 37.9, hkl 2 1 1
- 2θ = 58.61°, I 20.0, hkl 1 1 2
- 2θ = 68.72°, I 18.2, hkl 2 0 2

Cell and atoms:
```
data_CdGeN2O
_space_group_name_H-M_alt 'P 4/m m m'
_space_group_IT_number 123
_space_group_name_Hall '-P 4 2'
_cell_length_a 3.880
_cell_length_b 3.880
_cell_length_c 3.847
_cell_angle_alpha 90.00
_cell_angle_beta 90.00
_cell_angle_gamma 90.00
loop_
_atom_site_label
_atom_site_fract_x
_atom_site_fract_y
_atom_site_fract_z
Cd1 0.000 0.000 0.000
Ge1 0.500 0.500 0.500
N1 0.000 0.500 0.500
O1 0.500 0.500 0.000
```

***

3.
This entry pairs a crystal structure of Na12Cd2Ge with its computed powder diffraction line list. Radiation: Cu Kα (weighted mean of Kα1 and Kα2). Structure: a cell relaxed with PBE.

Principal peaks in the range 2θ from 10° to 90°, in order of rising 2θ:
- 2θ = 15.45°, I 47.5, hkl 0 0 4
- 2θ = 18.68°, I 52.3, hkl 1 1 0
- 2θ = 24.33°, I 100.0, hkl 1 1 4
- 2θ = 27.67°, I 78.9, hkl 2 0 2
- 2θ = 30.84°, I 71.3, hkl 2 0 4
- 2θ = 37.88°, I 48.9, hkl 2 2 0

Cell and atoms:
```
data_Na12Cd2Ge
_space_group_name_H-M_alt 'P 4/n b m'
_space_group_IT_number 125
_cell_length_a 6.718
_cell_length_b 6.718
_cell_length_c 22.941
_cell_angle_alpha 90.00
_cell_angle_beta 90.00
_cell_angle_gamma 90.00
loop_
_space_group_symop_operation_xyz
'x,y,z'
'-x,-y,-z'
'-y+1/2,x,z'
'y+1/2,-x,-z'
'-x+1/2,-y+1/2,z'
'x+1/2,y+1/2,-z'
'y,-x+1/2,z'
'-y,x+1/2,-z'
'x,-y+1/2,-z'
'-x,y+1/2,z'
'-y+1/2,-x+1/2,-z'
'y+1/2,x+1/2,z'
'-x+1/2,y,-z'
'x+1/2,-y,z'
'y,x,-z'
'-y,-x,z'
loop_
_atom_site_label
_atom_site_fract_x
_atom_site_fract_y
_atom_site_fract_z
Na1 0.000 0.000 0.077
Na2 0.074 0.574 0.432
Na3 0.250 0.250 0.193
Na4 0.250 0.250 0.322
Cd1 0.250 0.750 0.241
Ge1 0.250 0.750 0.000
```

***

4.
This entry pairs a crystal structure of Na4CdGe with its computed powder diffraction line list. Radiation: Cu Kα (weighted mean of Kα1 and Kα2). Structure: a cell relaxed with PBE.

Principal peaks in the range 2θ from 10° to 90°, in order of rising 2θ:
- 2θ = 14.43°, I 56.5, hkl 0 1 0
- 2θ = 16.20°, I 61.7, hkl 1 0 1
- 2θ = 18.68°, I 100.0, hkl 2 0 0
- 2θ = 27.23°, I 53.2, hkl 2 1 1
- 2θ = 31.88°, I 47.8, hkl 1 1 2
- 2θ = 33.48°, I 80.8, hkl 1 2 1

Cell and atoms:
```
data_Na4CdGe
_space_group_name_H-M_alt 'P m n 21'
_space_group_IT_number 31
_cell_length_a 9.499
_cell_length_b 6.137
_cell_length_c 6.693
_cell_angle_alpha 90.00
_cell_angle_beta 90.00
_cell_angle_gamma 90.00
loop_
_space_group_symop_operation_xyz
'x,y,z'
'-x+1/2,-y,z+1/2'
'-x,y,z'
'x+1/2,-y,z+1/2'
loop_
_atom_site_label
_atom_site_fract_x
_atom_site_fract_y
_atom_site_fract_z
Na1 0.000 0.022 0.000
Na2 0.000 0.807 0.488
Na3 0.208 0.418 0.236
Cd1 0.000 0.289 0.595
Ge1 0.000 0.545 0.914
```